Diffraction record for HfFe2Cl. The powder diffraction line list is simulated, not measured: it uses the PBE geometry in Alexandria and CuKα.
Kinematic intensities with the Lorentz-polarization factor, no thermal factor.

Crystal structure
```
data_HfFe2Cl
_cell_length_a 7.1693
_cell_length_b 7.1693
_cell_length_c 4.9635
_cell_angle_alpha 90.00
_cell_angle_beta 90.00
_cell_angle_gamma 90.00
_symmetry_space_group_name_H-M 'I -4 2 d'
_symmetry_Int_Tables_number 122
_symmetry_space_group_name_Hall 'I -4 2bw'
loop_
_atom_site_label
_atom_site_type_symbol
_atom_site_fract_x
_atom_site_fract_y
_atom_site_fract_z
Hf1 Hf 0.0000 0.0000 0.0000
Fe1 Fe 0.2028 0.2500 0.6250
Cl1 Cl 0.0000 0.0000 0.5000
```

Main lines, sorted by position (2θ = 10–90°):
21.8°, d 4.081, I = 44.5
24.8°, d 3.585, I = 27.4
33.3°, d 2.693, I = 72.0
35.4°, d 2.535, I = 100.0
40.5°, d 2.229, I = 82.2
42.0°, d 2.153, I = 27.7
51.0°, d 1.792, I = 30.8
54.8°, d 1.674, I = 61.6
67.0°, d 1.397, I = 15.7
68.1°, d 1.378, I = 15.5
78.1°, d 1.223, I = 19.8
82.2°, d 1.173, I = 17.5

=====

Diffraction record for HfFeOsCl2. The powder diffraction line list is simulated, not measured: it uses the PBE geometry in Alexandria and CuKα.
Kinematic intensities with the Lorentz-polarization factor, no thermal factor.

Crystal structure
```
data_HfFeOsCl2
_cell_length_a 4.7428
_cell_length_b 4.7428
_cell_length_c 5.3727
_cell_angle_alpha 90.00
_cell_angle_beta 90.00
_cell_angle_gamma 90.00
_symmetry_space_group_name_H-M 'P 4/m m m'
_symmetry_Int_Tables_number 123
_symmetry_space_group_name_Hall '-P 4 2'
loop_
_atom_site_label
_atom_site_type_symbol
_atom_site_fract_x
_atom_site_fract_y
_atom_site_fract_z
Hf1 Hf 0.0000 0.0000 0.0000
Fe1 Fe 0.0000 0.0000 0.5000
Os1 Os 0.5000 0.5000 0.5000
Cl1 Cl 0.0000 0.5000 0.0000
```

Main lines, sorted by position (2θ = 10–90°):
25.0°, d 3.556, I = 100.0
26.6°, d 3.354, I = 57.3
31.4°, d 2.845, I = 12.7
33.4°, d 2.686, I = 32.4
37.9°, d 2.371, I = 45.3
43.1°, d 2.097, I = 32.7
46.0°, d 1.973, I = 40.7
51.4°, d 1.778, I = 37.2
54.8°, d 1.676, I = 27.7
65.6°, d 1.422, I = 17.6
68.6°, d 1.368, I = 12.8
72.1°, d 1.310, I = 14.6